[1]
This entry pairs a crystal structure of TbNd2Zn2Si4Au2 with its theoretical X-ray diffraction stick pattern. Radiation: λ = 1.5418 Å (Cu Kα). Structure: a DFT-relaxed cell (GGA-PBE, OQMD).

```
data_TbNd2Zn2Si4Au2
_chemical_formula_sum 'Tb2 Nd4 Zn4 Si8 Au4'
_cell_length_a 4.138
_cell_length_b 4.263
_cell_length_c 25.092
_cell_angle_alpha 90.00
_cell_angle_beta 90.00
_cell_angle_gamma 90.00
_space_group_name_H-M_alt 'I m m m'
_space_group_IT_number 71
_space_group_name_Hall '-I 2 2'
loop_
_atom_site_label
_atom_site_type_symbol
_atom_site_fract_x
_atom_site_fract_y
_atom_site_fract_z
Tb1 Tb 0.000 0.000 0.000
Nd1 Nd 0.000 0.500 0.147
Zn1 Zn 0.000 0.000 0.250
Si1 Si 0.000 0.000 0.453
Si2 Si 0.000 0.500 0.308
Au1 Au 0.000 0.500 0.406
```

The 12 most intense peaks (5 to 70 degrees two-theta), most intense first:
2θ/deg	I/Imax
33.39	1000
33.06	375
45.08	228
27.95	227
42.41	220
43.75	201
54.80	178
21.14	161
64.63	157
38.58	142
62.57	138
30.10	135

=====

[2]
This entry pairs a crystal structure of Nd2YZn2Si4Au2 with its theoretical X-ray diffraction stick pattern. Radiation: λ = 1.5418 Å (Cu Kα). Structure: a DFT-relaxed cell (GGA-PBE, OQMD).

```
data_Nd2YZn2Si4Au2
_chemical_formula_sum 'Nd4 Y2 Zn4 Si8 Au4'
_cell_length_a 4.133
_cell_length_b 4.261
_cell_length_c 25.074
_cell_angle_alpha 90.00
_cell_angle_beta 90.00
_cell_angle_gamma 90.00
_space_group_name_H-M_alt 'I m m m'
_space_group_IT_number 71
_space_group_name_Hall '-I 2 2'
loop_
_atom_site_label
_atom_site_type_symbol
_atom_site_fract_x
_atom_site_fract_y
_atom_site_fract_z
Nd1 Nd 0.000 0.000 0.147
Y1 Y 0.000 0.500 0.000
Zn1 Zn 0.000 0.500 0.251
Si1 Si 0.000 0.000 0.308
Si2 Si 0.000 0.500 0.453
Au1 Au 0.000 0.000 0.406
```

The 12 most intense peaks (5 to 70 degrees two-theta), most intense first:
2θ/deg	I/Imax
33.42	1000
33.10	367
45.11	230
42.43	229
30.13	219
43.81	208
14.13	205
27.98	195
54.84	173
64.70	157
32.66	152
62.63	143

=====

[3]
This entry pairs a crystal structure of Nd3Zn2Si4Au2 with its theoretical X-ray diffraction stick pattern. Radiation: λ = 1.5418 Å (Cu Kα). Structure: a DFT-relaxed cell (GGA-PBE, OQMD).

```
data_Nd3Zn2Si4Au2
_chemical_formula_sum 'Nd6 Zn4 Si8 Au4'
_cell_length_a 4.190
_cell_length_b 4.268
_cell_length_c 25.171
_cell_angle_alpha 90.00
_cell_angle_beta 90.00
_cell_angle_gamma 90.00
_space_group_name_H-M_alt 'I m m m'
_space_group_IT_number 71
_space_group_name_Hall '-I 2 2'
loop_
_atom_site_label
_atom_site_type_symbol
_atom_site_fract_x
_atom_site_fract_y
_atom_site_fract_z
Nd1 Nd 0.000 0.000 0.000
Nd2 Nd 0.000 0.500 0.147
Zn1 Zn 0.000 0.000 0.250
Si1 Si 0.000 0.000 0.453
Si2 Si 0.000 0.500 0.307
Au1 Au 0.000 0.500 0.404
```

The 12 most intense peaks (5 to 70 degrees two-theta), most intense first:
2θ/deg	I/Imax
33.17	1000
32.82	340
43.17	243
27.70	227
42.36	214
44.95	210
62.08	164
54.59	160
38.48	158
64.08	158
21.12	158
29.88	146

=====

[4]
This entry pairs a crystal structure of Nd2Sn6Au3 with its theoretical X-ray diffraction stick pattern. Radiation: λ = 1.5418 Å (Cu Kα). Structure: a DFT-relaxed cell (GGA-PBE, OQMD).

```
data_Nd2Sn6Au3
_chemical_formula_sum 'Nd8 Sn24 Au12'
_cell_length_a 6.560
_cell_length_b 26.052
_cell_length_c 6.497
_cell_angle_alpha 90.00
_cell_angle_beta 90.00
_cell_angle_gamma 90.00
_space_group_name_H-M_alt 'C m c m'
_space_group_IT_number 63
_space_group_name_Hall '-C 2c 2'
loop_
_atom_site_label
_atom_site_type_symbol
_atom_site_fract_x
_atom_site_fract_y
_atom_site_fract_z
Nd1 Nd 0.000 0.094 0.250
Nd2 Nd 0.000 0.404 0.250
Sn1 Sn 0.000 0.048 0.750
Sn2 Sn 0.000 0.425 0.750
Sn3 Sn 0.226 0.305 0.523
Au1 Au 0.000 0.150 0.750
Au2 Au 0.218 0.500 0.000
```

The 12 most intense peaks (5 to 70 degrees two-theta), most intense first:
2θ/deg	I/Imax
39.02	1000
30.75	668
34.46	636
6.79	629
30.51	531
34.26	418
30.87	342
44.42	284
44.58	227
53.00	192
56.67	170
20.45	161

=====

[5]
This entry pairs a crystal structure of TbNd2Sn4Au4 with its theoretical X-ray diffraction stick pattern. Radiation: λ = 1.5418 Å (Cu Kα). Structure: a DFT-relaxed cell (GGA-PBE, OQMD).

```
data_TbNd2Sn4Au4
_chemical_formula_sum 'Tb2 Nd4 Sn8 Au8'
_cell_length_a 4.690
_cell_length_b 7.259
_cell_length_c 15.588
_cell_angle_alpha 90.00
_cell_angle_beta 90.00
_cell_angle_gamma 90.00
_space_group_name_H-M_alt 'I m m m'
_space_group_IT_number 71
_space_group_name_Hall '-I 2 2'
loop_
_atom_site_label
_atom_site_type_symbol
_atom_site_fract_x
_atom_site_fract_y
_atom_site_fract_z
Tb1 Tb 0.000 0.000 0.000
Nd1 Nd 0.000 0.500 0.130
Sn1 Sn 0.000 0.000 0.212
Sn2 Sn 0.000 0.200 0.500
Au1 Au 0.000 0.298 0.330
```

The 12 most intense peaks (5 to 70 degrees two-theta), most intense first:
2θ/deg	I/Imax
31.70	1000
32.31	644
38.38	523
34.53	452
42.82	441
35.74	390
41.15	312
57.53	235
31.22	233
50.28	214
52.57	208
11.35	191

=====

[6]
This entry pairs a crystal structure of NdTlAu with its theoretical X-ray diffraction stick pattern. Radiation: λ = 1.5418 Å (Cu Kα). Structure: a DFT-relaxed cell (GGA-PBE, OQMD).

```
data_NdTlAu
_chemical_formula_sum 'Nd2 Tl2 Au2'
_cell_length_a 5.2371
_cell_length_b 5.2371
_cell_length_c 6.4710
_cell_angle_alpha 90.00
_cell_angle_beta 90.00
_cell_angle_gamma 120.00
_space_group_name_H-M_alt 'P 63/m m c'
_space_group_IT_number 194
_space_group_name_Hall '-P 6c 2c'
loop_
_atom_site_label
_atom_site_type_symbol
_atom_site_fract_x
_atom_site_fract_y
_atom_site_fract_z
Nd1 Nd 0.3333 0.6667 0.2500
Tl1 Tl 0.0000 0.0000 0.0000
Au1 Au 0.3333 0.6667 0.7500
```

The 12 most intense peaks (5 to 70 degrees two-theta), most intense first:
2θ/deg	I/Imax
34.24	1000
34.04	950
61.19	358
49.06	345
68.13	278
61.32	190
56.92	79
44.51	68
27.57	41
23.96	34
68.51	19
19.57	10